Record 1
Sr2YFe2O7: computed PXRD pattern (Cu Ka), based on a GGA+U-relaxed structure.

Structural model:
Unit cell a=5.330 b=25.593 c=5.297 alpha=90.00 beta=90.00 gamma=90.00
Space group Imma (No. 74)
Inequivalent atoms, fractional coordinates:
Sr: 0.000 0.178 0.041 x8
Y: 0.000 0.000 0.000 x4
Fe: 0.000 0.081 0.509 x8
O: 0.000 0.154 0.530 x8
O: 0.250 0.052 0.750 x8
O: 0.250 0.060 0.250 x8
O: 0.250 0.250 0.250 x4

Peak list (12 most intense, 2θ from 10° to 90°, sorted by position)
d_spacing  two_theta  I_rel  (hkl)
3.757  23.7  11  1 0 1
3.240  27.5  21  1 4 1
2.819  31.7  100  1 6 1
2.665  33.6  21  2 0 0
2.649  33.8  18  0 0 2
2.260  39.9  11  2 6 0
2.133  42.4  11  0 12 0
1.879  48.5  28  2 0 2
1.665  55.2  11  2 12 0
1.661  55.3  10  0 12 2
1.567  58.9  17  3 6 1
1.560  59.2  13  1 6 3

Record 2
Sr4Y2Fe6O15: computed PXRD pattern (Cu Ka), based on a GGA+U-relaxed structure.

Structural model:
Unit cell a=7.720 b=7.896 c=23.378 alpha=90.00 beta=90.00 gamma=90.00
Space group Fmmm (No. 69)
Inequivalent atoms, fractional coordinates:
Sr: 0.000 0.236 0.081 x16
Y: 0.000 0.250 0.250 x8
Fe: 0.244 0.000 0.331 x16
Fe: 0.247 0.000 0.500 x8
O: 0.000 0.000 0.000 x4
O: 0.000 0.000 0.183 x8
O: 0.000 0.000 0.303 x8
O: 0.222 0.000 0.412 x16
O: 0.250 0.250 0.000 x8
O: 0.250 0.250 0.188 x16

Peak list (12 most intense, 2θ from 10° to 90°, sorted by position)
d_spacing  two_theta  I_rel  (hkl)
2.773  32.3  91  0 2 6
2.760  32.4  82  2 2 0
2.742  32.7  100  2 0 6
2.252  40.0  21  2 2 6
1.974  46.0  31  0 4 0
1.948  46.6  24  0 0 12
1.930  47.1  29  4 0 0
1.602  57.5  36  2 4 6
1.592  57.9  40  2 2 12
1.584  58.2  33  4 2 6
1.387  67.6  14  0 4 12
1.380  67.9  17  4 4 0